No. 1
This entry pairs a crystal structure of Pm12Sm5Th2 with its theoretical X-ray diffraction stick pattern. Radiation: a wavelength of 1.5418 Å. Structure: the GGA-PBE geometry in Alexandria.

Cell and atoms:
abc: 6.7224 8.9042 11.8745
angles: 110.50 93.54 96.67
Fractional positions:
Pm: 0.0202 0.2509 0.3801
Pm: 0.0560 0.8539 0.2329
Pm: 0.2281 0.8992 0.9550
Pm: 0.2833 0.3245 0.1371
Pm: 0.3371 0.6300 0.4121
Pm: 0.4732 0.2981 0.8655
Pm: 0.5268 0.7019 0.1345
Pm: 0.6629 0.3700 0.5879
Pm: 0.7167 0.6755 0.8629
Pm: 0.7719 0.1008 0.0450
Pm: 0.9440 0.1461 0.7671
Pm: 0.9798 0.7491 0.6199
Sm: 0.0000 0.5000 0.0000
Sm: 0.1972 0.4872 0.7076
Sm: 0.4865 0.1277 0.2947
Sm: 0.5135 0.8723 0.7053
Sm: 0.8028 0.5128 0.2924
Th: 0.2629 0.0558 0.5419
Th: 0.7371 0.9442 0.4581

Principal peaks in the range 10 to 90 degrees two-theta, in order of rising 2θ:
| 2theta | I (rel.) |
| --- | --- |
| 30.17 | 21 |
| 30.65 | 30 |
| 30.88 | 90 |
| 31.03 | 89 |
| 31.14 | 98 |
| 31.45 | 47 |
| 31.81 | 100 |
| 32.03 | 22 |
| 32.88 | 22 |
| 55.08 | 26 |

No. 2
This entry pairs a crystal structure of Pm5Sm12Th2 with its theoretical X-ray diffraction stick pattern. Radiation: a wavelength of 1.5418 Å. Structure: the GGA-PBE geometry in Alexandria.

Cell and atoms:
abc: 9.2396 9.2396 8.8222
angles: 92.63 92.63 61.19
Fractional positions:
Pm: 0.0000 0.0000 0.0000
Pm: 0.2333 0.2333 0.0658
Pm: 0.2910 0.2910 0.4612
Pm: 0.7090 0.7090 0.5388
Pm: 0.7667 0.7667 0.9342
Sm: 0.0328 0.6751 0.2586
Sm: 0.0697 0.0697 0.3782
Sm: 0.1716 0.5641 0.8143
Sm: 0.3249 0.9672 0.7414
Sm: 0.4359 0.8284 0.1857
Sm: 0.4432 0.4432 0.1603
Sm: 0.5568 0.5568 0.8397
Sm: 0.5641 0.1716 0.8143
Sm: 0.6751 0.0328 0.2586
Sm: 0.8284 0.4359 0.1857
Sm: 0.9303 0.9303 0.6218
Sm: 0.9672 0.3249 0.7414
Th: 0.3332 0.6668 0.5000
Th: 0.6668 0.3332 0.5000

Principal peaks in the range 10 to 90 degrees two-theta, in order of rising 2θ:
| 2theta | I (rel.) |
| --- | --- |
| 27.75 | 20 |
| 29.45 | 31 |
| 29.57 | 35 |
| 30.72 | 15 |
| 30.90 | 100 |
| 31.12 | 58 |
| 32.14 | 51 |
| 35.05 | 32 |
| 57.63 | 20 |
| 58.39 | 19 |

No. 3
This entry pairs a crystal structure of Pm5Sm6Th with its theoretical X-ray diffraction stick pattern. Radiation: a wavelength of 1.5418 Å. Structure: the GGA-PBE geometry in Alexandria.

Cell and atoms:
abc: 5.1373 9.6116 9.6201
angles: 64.64 74.62 74.52
Fractional positions:
Pm: 0.0000 0.0000 0.0000
Pm: 0.3336 0.1665 0.1665
Pm: 0.3357 0.6644 0.6643
Pm: 0.6643 0.3356 0.3357
Pm: 0.6664 0.8335 0.8335
Sm: 0.1646 0.0876 0.5831
Sm: 0.1647 0.5831 0.0876
Sm: 0.5000 0.2551 0.7448
Sm: 0.5000 0.7449 0.2552
Sm: 0.8353 0.4169 0.9124
Sm: 0.8354 0.9124 0.4169
Th: 0.0000 0.5000 0.5000

Principal peaks in the range 10 to 90 degrees two-theta, in order of rising 2θ:
| 2theta | I (rel.) |
| --- | --- |
| 30.11 | 100 |
| 34.91 | 51 |
| 50.19 | 30 |
| 50.25 | 6 |
| 59.63 | 25 |
| 59.70 | 18 |
| 62.64 | 9 |
| 81.70 | 12 |
| 84.19 | 8 |
| 84.31 | 8 |

No. 4
This entry pairs a crystal structure of PmSmTm2Th with its theoretical X-ray diffraction stick pattern. Radiation: a wavelength of 1.5418 Å. Structure: the GGA-PBE geometry in Alexandria.

Cell and atoms:
abc: 3.5401 5.6206 8.6666
angles: 90.00 90.05 90.00
Fractional positions:
Pm: 0.0000 0.0000 0.0000
Sm: 0.5000 0.0000 0.5000
Tm: 0.0009 0.5000 0.3203
Tm: 0.9991 0.5000 0.6797
Th: 0.5000 0.5000 0.0000

Principal peaks in the range 10 to 90 degrees two-theta, in order of rising 2θ:
| 2theta | I (rel.) |
| --- | --- |
| 15.77 | 20 |
| 25.96 | 16 |
| 30.95 | 18 |
| 31.60 | 100 |
| 31.84 | 41 |
| 32.66 | 20 |
| 34.92 | 27 |
| 36.46 | 29 |
| 56.59 | 19 |
| 61.84 | 21 |

No. 5
This entry pairs a crystal structure of PmSm2TmTh with its theoretical X-ray diffraction stick pattern. Radiation: a wavelength of 1.5418 Å. Structure: the GGA-PBE geometry in Alexandria.

Cell and atoms:
abc: 8.6081 6.4012 6.3603
angles: 90.00 97.15 90.00
Fractional positions:
Pm: 0.0000 0.0000 0.0000
Pm: 0.0000 0.0000 0.5000
Sm: 0.3147 0.3067 0.2110
Sm: 0.3147 0.6933 0.7110
Sm: 0.6853 0.3067 0.2890
Sm: 0.6853 0.6933 0.7890
Tm: 0.5000 0.1757 0.7500
Tm: 0.5000 0.8243 0.2500
Th: 0.0000 0.4518 0.7500
Th: 0.0000 0.5482 0.2500

Principal peaks in the range 10 to 90 degrees two-theta, in order of rising 2θ:
| 2theta | I (rel.) |
| --- | --- |
| 20.80 | 49 |
| 27.51 | 57 |
| 28.28 | 54 |
| 29.81 | 100 |
| 30.12 | 74 |
| 31.40 | 51 |
| 31.61 | 45 |
| 32.51 | 43 |
| 34.48 | 64 |
| 42.45 | 50 |

No. 6
This entry pairs a crystal structure of Pm5Sm2YTh with its theoretical X-ray diffraction stick pattern. Radiation: a wavelength of 1.5418 Å. Structure: the GGA-PBE geometry in Alexandria.

Cell and atoms:
abc: 10.6974 10.6974 10.5828
angles: 90.00 90.00 149.10
Fractional positions:
Pm: 0.0143 0.9857 0.5000
Pm: 0.2750 0.7250 0.2044
Pm: 0.2941 0.7059 0.8132
Pm: 0.3860 0.6140 0.4930
Pm: 0.4813 0.5187 0.7740
Pm: 0.5187 0.4813 0.2740
Pm: 0.6140 0.3860 0.9930
Pm: 0.7059 0.2941 0.3132
Pm: 0.7250 0.2750 0.7044
Pm: 0.9857 0.0143 0.0000
Sm: 0.1144 0.8856 0.7849
Sm: 0.1152 0.8848 0.2049
Sm: 0.8848 0.1152 0.7049
Sm: 0.8856 0.1144 0.2849
Y: 0.4052 0.5948 0.0602
Y: 0.5948 0.4052 0.5602
Th: 0.1992 0.8008 0.5062
Th: 0.8008 0.1992 0.0062

Principal peaks in the range 10 to 90 degrees two-theta, in order of rising 2θ:
| 2theta | I (rel.) |
| --- | --- |
| 27.28 | 20 |
| 30.11 | 44 |
| 31.39 | 38 |
| 31.67 | 100 |
| 33.88 | 13 |
| 42.06 | 13 |
| 50.65 | 11 |
| 56.06 | 20 |
| 58.02 | 12 |
| 60.81 | 13 |

Number 4 is which compound?
PmSmTm2Th

What is the formula in the fifth record?
PmSm2TmTh

Number 4 is which compound?
PmSmTm2Th